1.
Theoretical powder diffractogram
Compound: Ba4UCr2S9
Radiation: Cu Kα (λ = 1.5418 Å)
Structure: the PBE geometry in Alexandria
No peak broadening, texture or thermal motion is included.

Peak list (8 most intense, 10° ≤ 2θ ≤ 80°, low angle first)
- 19.31°, rel. 30
- 23.58°, rel. 73
- 25.58°, rel. 100
- 35.07°, rel. 65
- 35.97°, rel. 37
- 38.70°, rel. 25
- 45.69°, rel. 30
- 47.26°, rel. 30

Crystal structure
a b c (Å): 12.064 12.064 9.669
angles (deg): 90.00 90.00 120.00
Fractional positions:
Ba 0.000 0.626 0.000
Ba 0.000 0.683 0.500
Ba 0.044 0.340 0.749
Ba 0.297 0.956 0.749
Ba 0.317 0.317 0.500
Ba 0.340 0.044 0.251
Ba 0.374 0.374 0.000
Ba 0.626 0.000 0.000
Ba 0.660 0.703 0.749
Ba 0.683 0.000 0.500
Ba 0.703 0.660 0.251
Ba 0.956 0.297 0.251
U 0.000 0.000 0.000
U 0.333 0.667 0.244
U 0.667 0.333 0.756
Cr 0.000 0.000 0.341
Cr 0.000 0.000 0.659
Cr 0.333 0.667 0.581
Cr 0.333 0.667 0.899
Cr 0.667 0.333 0.101
Cr 0.667 0.333 0.419
S 0.000 0.154 0.500
S 0.013 0.843 0.190
S 0.154 0.000 0.500
S 0.157 0.170 0.190
S 0.165 0.646 0.739
S 0.170 0.157 0.810
S 0.181 0.494 0.051
S 0.182 0.497 0.432
S 0.313 0.819 0.051
S 0.315 0.818 0.432
S 0.354 0.519 0.739
S 0.481 0.835 0.739
S 0.494 0.181 0.949
S 0.497 0.182 0.568
S 0.503 0.685 0.432
S 0.506 0.687 0.051
S 0.519 0.354 0.261
S 0.646 0.165 0.261
S 0.685 0.503 0.568
S 0.687 0.506 0.949
S 0.818 0.315 0.568
S 0.819 0.313 0.949
S 0.830 0.987 0.190
S 0.835 0.481 0.261
S 0.843 0.013 0.810
S 0.846 0.846 0.500
S 0.987 0.830 0.810

2.
Theoretical powder diffractogram
Compound: PaCd2Br8
Radiation: Cu Kα (λ = 1.5418 Å)
Structure: the PBE geometry in Alexandria
No peak broadening, texture or thermal motion is included.

Peak list (8 most intense, 10° ≤ 2θ ≤ 80°, low angle first)
- 12.24°, rel. 92
- 21.84°, rel. 74
- 25.11°, rel. 73
- 28.17°, rel. 100
- 33.14°, rel. 46
- 35.57°, rel. 42
- 44.53°, rel. 66
- 45.60°, rel. 47

Crystal structure
a b c (Å): 8.138 8.138 7.231
angles (deg): 90.00 90.00 120.00
Fractional positions:
Pa 0.000 0.000 0.000
Cd 0.333 0.667 0.051
Cd 0.667 0.333 0.949
Br 0.162 0.324 0.231
Br 0.162 0.838 0.231
Br 0.324 0.162 0.769
Br 0.333 0.667 0.706
Br 0.667 0.333 0.294
Br 0.676 0.838 0.231
Br 0.838 0.162 0.769
Br 0.838 0.676 0.769

3.
Theoretical powder diffractogram
Compound: GaAs2PbO8
Radiation: Cu Kα (λ = 1.5418 Å)
Structure: the PBE geometry in Alexandria
No peak broadening, texture or thermal motion is included.

Peak list (8 most intense, 10° ≤ 2θ ≤ 80°, low angle first)
- 20.95°, rel. 13
- 26.22°, rel. 100
- 36.00°, rel. 42
- 38.10°, rel. 13
- 38.80°, rel. 28
- 45.09°, rel. 23
- 59.00°, rel. 21
- 62.88°, rel. 19

Crystal structure
a b c (Å): 7.883 7.883 7.883
angles (deg): 36.89 36.89 36.89
Fractional positions:
Ga 0.000 0.000 0.000
As 0.260 0.260 0.260
As 0.740 0.740 0.740
Pb 0.500 0.500 0.500
O 0.048 0.379 0.734
O 0.182 0.182 0.182
O 0.266 0.952 0.621
O 0.379 0.734 0.048
O 0.621 0.266 0.952
O 0.734 0.048 0.379
O 0.818 0.818 0.818
O 0.952 0.621 0.266

4.
Theoretical powder diffractogram
Compound: Tb2PaFe2
Radiation: Cu Kα (λ = 1.5418 Å)
Structure: the PBE geometry in Alexandria
No peak broadening, texture or thermal motion is included.

Peak list (8 most intense, 10° ≤ 2θ ≤ 80°, low angle first)
- 30.35°, rel. 100
- 31.69°, rel. 25
- 32.05°, rel. 76
- 33.69°, rel. 51
- 37.69°, rel. 37
- 38.00°, rel. 36
- 42.27°, rel. 23
- 53.33°, rel. 21

Crystal structure
a b c (Å): 5.927 5.927 6.875
angles (deg): 96.58 96.58 62.19
Fractional positions:
Tb 0.042 0.260 0.146
Tb 0.260 0.042 0.646
Tb 0.740 0.958 0.354
Tb 0.958 0.740 0.854
Pa 0.422 0.578 0.250
Pa 0.578 0.422 0.750
Fe 0.197 0.501 0.481
Fe 0.499 0.803 0.019
Fe 0.501 0.197 0.981
Fe 0.803 0.499 0.519

5.
Theoretical powder diffractogram
Compound: Dy2Zn5Cu5
Radiation: Cu Kα (λ = 1.5418 Å)
Structure: the PBE geometry in Alexandria
No peak broadening, texture or thermal motion is included.

Peak list (8 most intense, 10° ≤ 2θ ≤ 80°, low angle first)
- 29.31°, rel. 73
- 34.96°, rel. 30
- 40.49°, rel. 37
- 41.17°, rel. 51
- 41.28°, rel. 100
- 43.29°, rel. 42
- 56.78°, rel. 22
- 66.85°, rel. 23

Crystal structure
a b c (Å): 4.180 5.151 8.881
angles (deg): 90.00 90.00 90.00
Fractional positions:
Dy 0.000 0.000 0.000
Dy 0.000 0.500 0.500
Zn 0.500 0.000 0.500
Zn 0.500 0.251 0.245
Zn 0.500 0.251 0.755
Zn 0.500 0.749 0.245
Zn 0.500 0.749 0.755
Cu 0.000 0.000 0.335
Cu 0.000 0.000 0.665
Cu 0.000 0.500 0.163
Cu 0.000 0.500 0.837
Cu 0.500 0.500 0.000

6.
Theoretical powder diffractogram
Compound: LaCoN3
Radiation: Cu Kα (λ = 1.5418 Å)
Structure: the PBE geometry in Alexandria
No peak broadening, texture or thermal motion is included.

Peak list (8 most intense, 10° ≤ 2θ ≤ 80°, low angle first)
- 17.64°, rel. 75
- 19.31°, rel. 62
- 27.50°, rel. 100
- 29.25°, rel. 86
- 29.35°, rel. 87
- 30.92°, rel. 70
- 35.67°, rel. 88
- 39.92°, rel. 62

Crystal structure
a b c (Å): 4.912 5.330 6.732
angles (deg): 71.63 70.31 78.27
Fractional positions:
La 0.000 0.000 0.000
La 0.314 0.655 0.477
Co 0.272 0.431 0.125
Co 0.733 0.633 0.876
N 0.025 0.501 0.976
N 0.188 0.145 0.580
N 0.253 0.221 0.380
N 0.420 0.749 0.092
N 0.727 0.751 0.609
N 0.811 0.833 0.408